No. 1
Structure and simulated XRD peak list of Ti2Si6Mo (a DFT-relaxed cell (GGA-PBE, the Materials Project); Cu Kα X-rays).

Main lines, sorted by position (2θ = 10–90°):
21.76°, I = 12; 25.74°, I = 40; 35.25°, I = 17; 38.13°, I = 17; 40.68°, I = 100; 41.61°, I = 34; 47.60°, I = 62; 70.25°, I = 19; 70.71°, I = 11; 85.09°, I = 11

Crystal structure
a b c (Å): 4.721 4.721 6.512
angles (deg): 90.00 90.00 120.11
Positions (direct):
Ti  0.000  0.500  0.167
Ti  0.500  0.000  0.833
Si  0.183  0.344  0.833
Si  0.334  0.666  0.500
Si  0.344  0.183  0.167
Si  0.656  0.817  0.167
Si  0.666  0.334  0.500
Si  0.817  0.656  0.833
Mo  0.000  0.000  0.500

***

No. 2
Structure and simulated XRD peak list of Ti3Si3Mo2 (a DFT-relaxed cell (GGA-PBE, the Materials Project); Cu Kα X-rays).

Main lines, sorted by position (2θ = 10–90°):
30.06°, I = 75; 35.53°, I = 51; 37.25°, I = 38; 38.31°, I = 54; 41.16°, I = 100; 41.46°, I = 65; 41.63°, I = 94; 42.24°, I = 65; 43.29°, I = 58; 43.46°, I = 94

Crystal structure
a b c (Å): 5.053 7.355 7.355
angles (deg): 119.22 90.00 90.00
Positions (direct):
Ti  0.000  0.117  0.883
Ti  0.000  0.883  0.117
Ti  0.250  0.218  0.552
Ti  0.250  0.552  0.218
Ti  0.750  0.218  0.552
Ti  0.750  0.552  0.218
Si  0.000  0.280  0.280
Si  0.000  0.487  0.883
Si  0.000  0.883  0.487
Si  0.500  0.272  0.885
Si  0.500  0.498  0.498
Si  0.500  0.885  0.272
Mo  0.000  0.631  0.631
Mo  0.500  0.151  0.151
Mo  0.500  0.624  0.886
Mo  0.500  0.886  0.624

***

No. 3
Structure and simulated XRD peak list of VSi3Mo4 (a DFT-relaxed cell (GGA-PBE, the Materials Project); Cu Kα X-rays).

Main lines, sorted by position (2θ = 10–90°):
27.67°, I = 38; 37.16°, I = 45; 38.38°, I = 83; 41.78°, I = 74; 42.86°, I = 100; 45.95°, I = 41; 67.82°, I = 26; 70.18°, I = 18; 70.91°, I = 22; 88.81°, I = 21

Crystal structure
a b c (Å): 7.250 7.250 7.250
angles (deg): 96.40 96.40 141.00
Positions (direct):
V  0.250  0.750  0.500
V  0.750  0.250  0.500
Si  0.163  0.663  0.825
Si  0.250  0.250  0.000
Si  0.337  0.163  0.500
Si  0.663  0.837  0.500
Si  0.750  0.750  0.000
Si  0.837  0.337  0.175
Mo  0.079  0.226  0.305
Mo  0.226  0.921  0.148
Mo  0.274  0.421  0.695
Mo  0.421  0.726  0.148
Mo  0.579  0.274  0.852
Mo  0.726  0.579  0.305
Mo  0.774  0.079  0.852
Mo  0.921  0.774  0.695

***

No. 4
Structure and simulated XRD peak list of Si4MoW (a DFT-relaxed cell (GGA-PBE, the Materials Project); Cu Kα X-rays).

Main lines, sorted by position (2θ = 10–90°):
11.24°, I = 29; 22.59°, I = 48; 29.93°, I = 94; 39.50°, I = 71; 44.50°, I = 100; 45.98°, I = 30; 57.09°, I = 24; 65.80°, I = 20; 75.14°, I = 43; 85.34°, I = 16

Crystal structure
a b c (Å): 3.226 3.226 7.873
angles (deg): 90.00 90.00 90.00
Positions (direct):
Si  0.000  0.000  0.165
Si  0.000  0.000  0.835
Si  0.500  0.500  0.334
Si  0.500  0.500  0.666
Mo  0.500  0.500  0.000
W  0.000  0.000  0.500

***

No. 5
Structure and simulated XRD peak list of Si3Mo3W2 (a DFT-relaxed cell (GGA-PBE, the Materials Project); Cu Kα X-rays).

Main lines, sorted by position (2θ = 10–90°):
18.29°, I = 29; 27.37°, I = 73; 36.47°, I = 40; 38.10°, I = 100; 41.10°, I = 40; 41.67°, I = 33; 42.50°, I = 82; 42.63°, I = 43; 45.31°, I = 61; 69.81°, I = 30

Crystal structure
a b c (Å): 7.292 7.292 7.292
angles (deg): 96.75 96.36 140.50
Positions (direct):
Si  0.168  0.666  0.834
Si  0.250  0.250  0.000
Si  0.332  0.166  0.498
Si  0.668  0.834  0.502
Si  0.750  0.750  0.000
Si  0.832  0.334  0.166
Mo  0.224  0.922  0.146
Mo  0.250  0.750  0.500
Mo  0.276  0.422  0.698
Mo  0.724  0.578  0.302
Mo  0.750  0.250  0.500
Mo  0.776  0.078  0.854
W  0.076  0.225  0.301
W  0.424  0.725  0.149
W  0.576  0.275  0.851
W  0.924  0.775  0.699

***

No. 6
Structure and simulated XRD peak list of Y2Si4Mo3 (a DFT-relaxed cell (GGA-PBE, the Materials Project); Cu Kα X-rays).

Main lines, sorted by position (2θ = 10–90°):
29.29°, I = 29; 29.78°, I = 30; 34.35°, I = 23; 34.85°, I = 24; 37.18°, I = 100; 37.44°, I = 95; 37.93°, I = 38; 41.52°, I = 47; 41.67°, I = 21; 42.15°, I = 69

Crystal structure
a b c (Å): 6.872 6.938 6.760
angles (deg): 90.00 108.88 90.00
Positions (direct):
Y  0.191  0.170  0.062
Y  0.191  0.330  0.562
Y  0.809  0.670  0.438
Y  0.809  0.830  0.938
Si  0.090  0.545  0.869
Si  0.090  0.955  0.369
Si  0.495  0.631  0.628
Si  0.495  0.869  0.128
Si  0.505  0.131  0.872
Si  0.505  0.369  0.372
Si  0.910  0.045  0.631
Si  0.910  0.455  0.131
Mo  0.250  0.663  0.249
Mo  0.250  0.837  0.749
Mo  0.500  0.000  0.500
Mo  0.500  0.500  0.000
Mo  0.750  0.163  0.251
Mo  0.750  0.337  0.751

***

No. 7
Structure and simulated XRD peak list of ZrSiMo (a DFT-relaxed cell (GGA-PBE, the Materials Project); Cu Kα X-rays).

Main lines, sorted by position (2θ = 10–90°):
35.09°, I = 45; 35.76°, I = 100; 36.03°, I = 64; 37.70°, I = 49; 40.16°, I = 26; 41.56°, I = 24; 43.62°, I = 22; 44.63°, I = 27; 51.46°, I = 28; 65.96°, I = 18

Crystal structure
a b c (Å): 7.000 3.551 8.241
angles (deg): 90.00 90.00 90.00
Positions (direct):
Zr  0.043  0.250  0.168
Zr  0.457  0.750  0.668
Zr  0.543  0.250  0.332
Zr  0.957  0.750  0.832
Si  0.243  0.750  0.363
Si  0.257  0.250  0.863
Si  0.743  0.750  0.137
Si  0.757  0.250  0.637
Mo  0.132  0.250  0.562
Mo  0.368  0.750  0.062
Mo  0.632  0.250  0.938
Mo  0.868  0.750  0.438

***

No. 8
Structure and simulated XRD peak list of Sn3Mo (a DFT-relaxed cell (GGA-PBE, the Materials Project); Cu Kα X-rays).

Main lines, sorted by position (2θ = 10–90°):
34.72°, I = 100; 40.08°, I = 34; 40.77°, I = 16; 57.97°, I = 12; 58.50°, I = 23; 69.37°, I = 28; 70.33°, I = 13; 73.28°, I = 12; 86.52°, I = 4; 88.31°, I = 2

Crystal structure
a b c (Å): 4.500 4.500 8.854
angles (deg): 90.00 90.00 90.00
Positions (direct):
Sn  0.000  0.000  0.000
Sn  0.000  0.500  0.250
Sn  0.000  0.500  0.750
Sn  0.500  0.000  0.250
Sn  0.500  0.000  0.750
Sn  0.500  0.500  0.500
Mo  0.000  0.000  0.500
Mo  0.500  0.500  0.000